No. 1
Structure and theoretical X-ray diffraction stick pattern of Li2CuSbCl6 (a structure optimized by DFT (PBE); copper Kα).
Lines closer than 0.1° are merged.

Peak list (10 most intense, 2θ = 10–80°, low angle first)
2θ 17.4, rel. 100.0
2θ 24.6, rel. 20.9
2θ 35.1, rel. 43.9
2θ 39.4, rel. 46.1
2θ 43.4, rel. 9.8
2θ 50.5, rel. 28.2
2θ 53.8, rel. 21.9
2θ 63.0, rel. 9.1
2θ 65.9, rel. 9.5
2θ 77.0, rel. 11.5

Atomic structure:
```
Li2CuSbCl6
1.0
0.0000 5.1077 5.1077
5.1077 0.0000 5.1077
5.1077 5.1077 0.0000
Li Cu Sb Cl
2 1 1 6
Cartesian
2.5538 2.5538 2.5538 Li
7.6615 7.6615 7.6615 Li
0.0000 0.0000 0.0000 Cu
5.1077 5.1077 5.1077 Sb
5.1077 5.1077 2.4590 Cl
5.1077 2.4590 5.1077 Cl
7.7564 5.1077 5.1077 Cl
2.4590 5.1077 5.1077 Cl
5.1077 7.7564 5.1077 Cl
5.1077 5.1077 7.7564 Cl
```



No. 2
Structure and theoretical X-ray diffraction stick pattern of Ce3Cr10N11 (a structure optimized by DFT (PBE); copper Kα).
Lines closer than 0.1° are merged.

Peak list (10 most intense, 2θ = 10–80°, low angle first)
2θ 24.3, rel. 21.0
2θ 30.7, rel. 28.2
2θ 34.6, rel. 61.7
2θ 36.7, rel. 100.0
2θ 40.1, rel. 14.7
2θ 42.7, rel. 15.9
2θ 51.9, rel. 17.6
2θ 55.5, rel. 18.9
2θ 61.9, rel. 36.5
2θ 77.7, rel. 16.9

Atomic structure:
```
Ce3Cr10N11
1.0
0.0000 6.3567 6.3567
6.3567 0.0000 6.3567
6.3567 6.3567 0.0000
Ce Cr N
6 20 22
Cartesian
6.3567 6.3567 2.4668 Ce
6.3567 2.4668 6.3567 Ce
10.2467 6.3567 6.3567 Ce
2.4668 6.3567 6.3567 Ce
6.3567 10.2467 6.3567 Ce
6.3567 6.3567 10.2467 Ce
3.1784 3.1784 1.3935 Cr
3.1784 1.3935 3.1784 Cr
4.9632 3.1784 3.1784 Cr
7.6080 5.1055 5.1055 Cr
1.3935 3.1784 3.1784 Cr
3.1784 4.9632 3.1784 Cr
3.1784 3.1784 4.9632 Cr
5.1055 5.1055 5.1055 Cr
7.6080 7.6080 5.1055 Cr
7.6080 5.1055 7.6080 Cr
5.1055 7.6080 5.1055 Cr
5.1055 5.1055 7.6080 Cr
7.6080 7.6080 7.6080 Cr
9.5351 9.5351 7.7503 Cr
9.5351 7.7503 9.5351 Cr
11.3200 9.5351 9.5351 Cr
5.1055 7.6080 7.6080 Cr
7.7503 9.5351 9.5351 Cr
9.5351 11.3200 9.5351 Cr
9.5351 9.5351 11.3200 Cr
0.0000 0.0000 0.0000 N
1.7551 1.7551 1.7551 N
4.6016 4.6016 1.7551 N
4.6016 1.7551 4.6016 N
6.3567 4.1586 4.1586 N
8.5549 6.3567 4.1586 N
8.5549 4.1586 6.3567 N
10.9583 8.1119 8.1119 N
4.1586 6.3567 4.1586 N
6.3567 8.5549 4.1586 N
4.1586 4.1586 6.3567 N
6.3567 6.3567 6.3567 N
8.5549 8.5549 6.3567 N
6.3567 4.1586 8.5549 N
8.5549 6.3567 8.5549 N
1.7551 4.6016 4.6016 N
4.1586 8.5549 6.3567 N
4.1586 6.3567 8.5549 N
6.3567 8.5549 8.5549 N
8.1119 10.9583 8.1119 N
8.1119 8.1119 10.9583 N
10.9583 10.9583 10.9583 N
```